The following is a computed powder diffraction line list of CaMg2. It was derived from DFT lattice parameters and positions (GGA-PBE), using λ = 1.5418 Å (Cu Kα).
Neutral-atom scattering factors, no anomalous dispersion.

a = 6.098 Å, b = 6.098 Å, c = 5.423 Å
α = 90.00°, β = 90.00°, γ = 56.70°
Fractional positions:
Ca 0.204 0.796 0.750
Ca 0.796 0.204 0.250
Mg 0.150 0.481 0.250
Mg 0.481 0.150 0.750
Mg 0.519 0.850 0.250
Mg 0.850 0.519 0.750

Top 6 peaks for 2θ = 5–70°, sorted by position:
Position (°2θ)	d (Å)	I (rel.)
24.0	3.714	19.7
30.9	2.896	17.3
33.0	2.712	34.4
33.8	2.654	100.0
35.1	2.554	32.7
59.5	1.554	17.8